# Ca2AlFeO5
Computed XRD peak list, CuKα. Input: the GGA+U geometry in Alexandria.
Kinematic intensities with the Lorentz-polarization factor, no thermal factor.

Top 10 peaks for 2θ from 10° to 80°, in order of falling intensity:
| h k l | 2θ (°) | I/Imax |
| --- | --- | --- |
| 4 1 1 | 33.71 | 100 |
| 2 0 0 | 12.25 | 54 |
| 0 2 2 | 46.22 | 46 |
| 0 0 2 | 32.99 | 42 |
| 0 2 0 | 31.45 | 33 |
| 6 1 1 | 44.11 | 31 |
| 4 1 3 | 59.38 | 22 |
| 4 3 1 | 57.45 | 20 |
| 8 0 0 | 50.54 | 17 |
| 2 2 2 | 48.00 | 15 |

Structure:
Cell: 14.4477 5.6894 5.4301 Å, 90.00 90.00 90.00°
Space group Ima2 (No. 46)
Unique sites:
1 Ca 0.1098 0.0311 0.0000 [8 per cell]
2 Al 0.2500 0.5760 0.0299 [4 per cell]
3 Fe 0.0000 0.0000 0.4893 [4 per cell]
4 O 0.0155 0.7462 0.2408 [8 per cell]
5 O 0.1465 0.0734 0.4621 [8 per cell]
6 O 0.2500 0.6501 0.3576 [4 per cell]